Diffraction record for Cu2SnSe3. The PXRD pattern is computed, not measured: it uses a cell relaxed with PBE and Cu Kα X-rays.

Structure:
a = 7.0821 Å, b = 7.0821 Å, c = 7.0821 Å
α = 146.21°, β = 59.92°, γ = 132.07°
Sites, in units of the cell vectors:
Cu: 0.1696 0.0000 0.1696
Cu: 0.8304 0.0000 0.8304
Sn: 0.5251 0.0251 0.5000
Se: 0.2231 0.2231 0.0000
Se: 0.5949 0.2727 0.3222
Se: 0.9505 0.2727 0.6778

Largest 10 diffraction maxima, in order of rising 2θ, 2θ from 10° to 90°:
| 2θ/deg | I (rel.) |
| --- | --- |
| 26.63 | 88 |
| 26.74 | 80 |
| 44.00 | 22 |
| 44.33 | 100 |
| 52.24 | 25 |
| 52.43 | 25 |
| 52.69 | 23 |
| 64.20 | 13 |
| 71.04 | 14 |
| 81.15 | 13 |